Computed X-ray powder pattern
Compound: Hf6GaFe2
Radiation: Cu Kα (weighted mean of Kα1 and Kα2)
Structure: a cell relaxed with PBE
Neutral-atom scattering factors, no anomalous dispersion.

Peak list (10 most intense, 2θ = 10–80°, in order of rising 2θ)
2θ 28.25, 3.159 Å, intensity 27
2θ 29.77, 3.001 Å, intensity 37
2θ 33.79, 2.653 Å, intensity 35
2θ 35.38, 2.537 Å, intensity 100
2θ 36.83, 2.440 Å, intensity 50
2θ 38.35, 2.347 Å, intensity 64
2θ 39.48, 2.283 Å, intensity 37
2θ 39.73, 2.269 Å, intensity 34
2θ 43.19, 2.095 Å, intensity 46
2θ 67.82, 1.382 Å, intensity 30

Structural model:
Cell: 7.670 7.670 7.670 Å, 113.82 112.56 102.26°
Positions (direct):
Hf 0.032 0.233 0.799
Hf 0.185 0.300 0.485
Hf 0.185 0.700 0.886
Hf 0.330 0.022 0.692
Hf 0.330 0.638 0.308
Hf 0.434 0.233 0.201
Hf 0.566 0.767 0.799
Hf 0.670 0.362 0.692
Hf 0.670 0.978 0.308
Hf 0.815 0.300 0.114
Hf 0.815 0.700 0.515
Hf 0.968 0.767 0.201
Ga 0.000 0.000 0.000
Ga 0.500 0.500 0.000
Fe 0.134 0.634 0.500
Fe 0.330 0.000 0.330
Fe 0.670 0.000 0.670
Fe 0.866 0.366 0.500

Computed X-ray powder pattern
Compound: Sr3PN3
Radiation: Cu Kα (weighted mean of Kα1 and Kα2)
Structure: a cell relaxed with PBE
Neutral-atom scattering factors, no anomalous dispersion.

Peak list (10 most intense, 2θ = 10–80°, in order of rising 2θ)
2θ 31.34, 2.854 Å, intensity 100
2θ 31.80, 2.814 Å, intensity 34
2θ 31.95, 2.801 Å, intensity 38
2θ 33.29, 2.691 Å, intensity 35
2θ 33.73, 2.658 Å, intensity 50
2θ 47.14, 1.928 Å, intensity 24
2θ 48.12, 1.891 Å, intensity 24
2θ 52.86, 1.732 Å, intensity 9
2θ 58.84, 1.570 Å, intensity 18
2θ 64.19, 1.451 Å, intensity 11

Structural model:
Cell: 6.908 5.315 6.934 Å, 90.00 102.09 90.00°
Positions (direct):
Sr 0.086 0.250 0.316
Sr 0.319 0.750 0.084
Sr 0.391 0.750 0.603
Sr 0.609 0.250 0.397
Sr 0.681 0.250 0.916
Sr 0.914 0.750 0.684
P 0.203 0.250 0.794
P 0.797 0.750 0.206
N 0.042 0.750 0.304
N 0.302 0.250 0.038
N 0.364 0.250 0.635
N 0.636 0.750 0.365
N 0.698 0.750 0.962
N 0.958 0.250 0.696